Entry 1:
This entry pairs a crystal structure of Sr2HoTcO6 with its theoretical X-ray diffraction stick pattern. Radiation: copper Kα. Structure: DFT lattice parameters and positions (GGA-PBE).

Structure:
```
data_Sr2HoTcO6
_chemical_formula_sum 'Sr4 Ho2 Tc2 O12'
_cell_length_a 5.810
_cell_length_b 5.873
_cell_length_c 10.060
_cell_angle_alpha 90.00
_cell_angle_beta 124.99
_cell_angle_gamma 90.00
_symmetry_space_group_name_H-M 'P 1 21/c 1'
_symmetry_Int_Tables_number 14
_symmetry_space_group_name_Hall '-P 2ybc'
loop_
_atom_site_label
_atom_site_fract_x
_atom_site_fract_y
_atom_site_fract_z
Sr1 0.242 0.035 0.250
Ho1 0.500 0.000 0.000
Tc1 0.000 0.000 0.500
O1 0.158 0.228 0.960
O2 0.233 0.700 0.962
O3 0.308 0.019 0.735
```

Most intense lines, 5° ≤ 2θ ≤ 70°, by angle:
21.53 deg, rel. 21, hkl 1 1 -1; 30.44 deg, rel. 33, hkl 0 2 0; 30.59 deg, rel. 68, hkl 1 1 1; 30.73 deg, rel. 100, hkl 1 1 -3; 43.84 deg, rel. 37, hkl 2 2 -2; 43.94 deg, rel. 19, hkl 0 0 4; 54.22 deg, rel. 24, hkl 1 3 -3; 54.42 deg, rel. 22, hkl 2 0 2; 54.54 deg, rel. 15, hkl 3 1 -1; 54.75 deg, rel. 22, hkl 3 1 -5; 63.68 deg, rel. 11, hkl 2 2 2; 63.94 deg, rel. 11, hkl 2 2 -6



Entry 2:
This entry pairs a crystal structure of RbAuBr3 with its theoretical X-ray diffraction stick pattern. Radiation: copper Kα. Structure: DFT lattice parameters and positions (GGA-PBE).

Structure:
```
data_RbAuBr3
_chemical_formula_sum 'Rb8 Au8 Br24'
_cell_length_a 10.650
_cell_length_b 16.874
_cell_length_c 8.137
_cell_angle_alpha 90.00
_cell_angle_beta 90.00
_cell_angle_gamma 90.00
_symmetry_space_group_name_H-M 'C m c e'
_symmetry_Int_Tables_number 64
_symmetry_space_group_name_Hall '-C 2ac 2'
loop_
_atom_site_label
_atom_site_fract_x
_atom_site_fract_y
_atom_site_fract_z
Rb1 0.250 0.163 0.250
Au1 0.000 0.105 0.692
Br1 0.000 0.036 0.223
Br2 0.000 0.235 0.551
Br3 0.250 0.117 0.750
```

Most intense lines, 5° ≤ 2θ ≤ 70°, by angle:
15.13 deg, rel. 74, hkl 0 2 1; 16.65 deg, rel. 48, hkl 2 0 0; 21.85 deg, rel. 77, hkl 0 0 2; 22.57 deg, rel. 52, hkl 2 2 1; 24.00 deg, rel. 41, hkl 1 1 2; 29.59 deg, rel. 55, hkl 2 2 2; 30.53 deg, rel. 46, hkl 0 4 2; 33.68 deg, rel. 100, hkl 4 0 0; 40.49 deg, rel. 31, hkl 4 0 2; 44.36 deg, rel. 31, hkl 0 8 1; 46.07 deg, rel. 29, hkl 4 4 2; 48.36 deg, rel. 52, hkl 1 3 4



Entry 3:
This entry pairs a crystal structure of KCaSbO4 with its theoretical X-ray diffraction stick pattern. Radiation: copper Kα. Structure: DFT lattice parameters and positions (GGA-PBE).

Structure:
```
data_KCaSbO4
_chemical_formula_sum 'K4 Ca4 Sb4 O16'
_cell_length_a 6.419
_cell_length_b 7.250
_cell_length_c 9.649
_cell_angle_alpha 90.00
_cell_angle_beta 90.00
_cell_angle_gamma 90.00
_symmetry_space_group_name_H-M 'I m m a'
_symmetry_Int_Tables_number 74
_symmetry_space_group_name_Hall '-I 2b 2'
loop_
_atom_site_label
_atom_site_fract_x
_atom_site_fract_y
_atom_site_fract_z
K1 0.250 0.250 0.250
Ca1 0.000 0.000 0.000
Sb1 0.000 0.250 0.639
O1 0.000 0.035 0.752
O2 0.244 0.250 0.520
```

Most intense lines, 5° ≤ 2θ ≤ 70°, by angle:
15.29 deg, rel. 49, hkl 0 1 1; 24.56 deg, rel. 31, hkl 0 2 0; 26.17 deg, rel. 100, hkl 1 1 2; 27.80 deg, rel. 23, hkl 2 0 0; 29.78 deg, rel. 76, hkl 1 2 1; 30.40 deg, rel. 28, hkl 0 1 3; 31.10 deg, rel. 47, hkl 1 0 3; 31.87 deg, rel. 79, hkl 2 1 1; 44.23 deg, rel. 24, hkl 1 3 2; 47.07 deg, rel. 20, hkl 0 3 3; 50.38 deg, rel. 33, hkl 0 4 0; 53.85 deg, rel. 55, hkl 2 2 4



Entry 4:
This entry pairs a crystal structure of Nd4DyHo7 with its theoretical X-ray diffraction stick pattern. Radiation: copper Kα. Structure: DFT lattice parameters and positions (GGA-PBE).

Structure:
```
data_Nd4DyHo7
_chemical_formula_sum 'Nd4 Dy1 Ho7'
_cell_length_a 6.559
_cell_length_b 6.838
_cell_length_c 9.092
_cell_angle_alpha 84.94
_cell_angle_beta 77.18
_cell_angle_gamma 81.76
_symmetry_space_group_name_H-M 'P -1'
_symmetry_Int_Tables_number 2
_symmetry_space_group_name_Hall '-P 1'
loop_
_atom_site_label
_atom_site_fract_x
_atom_site_fract_y
_atom_site_fract_z
Nd1 0.139 0.310 0.284
Nd2 0.336 0.884 0.694
Dy1 0.500 0.500 0.000
Ho1 0.012 0.253 0.950
Ho2 0.182 0.801 0.358
Ho3 0.313 0.394 0.617
Ho4 0.500 0.000 0.000
```

Most intense lines, 5° ≤ 2θ ≤ 70°, by angle:
30.30 deg, rel. 36, hkl 0 0 3; 31.01 deg, rel. 39, hkl 2 0 2; 31.58 deg, rel. 100, hkl 1 -2 0; 31.81 deg, rel. 10, hkl 2 1 2; 31.93 deg, rel. 52, hkl 2 0 -1; 32.11 deg, rel. 35, hkl 1 2 2; 32.40 deg, rel. 17, hkl 0 1 3; 34.84 deg, rel. 11, hkl 1 -1 3; 43.23 deg, rel. 15, hkl 1 -2 3; 45.37 deg, rel. 12, hkl -1 2 3; 46.46 deg, rel. 13, hkl 3 2 1; 56.75 deg, rel. 17, hkl 3 2 -2